This entry pairs a crystal structure of AsP2WCl with its theoretical XRD peak list. Radiation: Cu Kα X-rays. Structure: a cell relaxed with PBE.
No peak broadening, texture or thermal motion is included.

Largest 8 diffraction maxima, by intensity, 2θ from 10° to 80°:
- (1 0 1), 26.57°, d 3.354, I = 100
- (1 1 0), 26.43°, d 3.372, I = 56
- (2 0 0), 37.73°, d 2.384, I = 51
- (1 0 0), 18.61°, d 4.769, I = 48
- (2 1 1), 46.74°, d 1.943, I = 45
- (2 0 2), 54.73°, d 1.677, I = 34
- (0 0 2), 38.14°, d 2.360, I = 25
- (1 1 2), 47.00°, d 1.933, I = 24

```
data_AsP2WCl
_chemical_formula_sum 'As1 P2 W1 Cl1'
_space_group_name_H-M_alt 'P 4/m m m'
_space_group_IT_number 123
_space_group_name_Hall '-P 4 2'
_cell_length_a 4.7687
_cell_length_b 4.7687
_cell_length_c 4.7196
_cell_angle_alpha 90.00
_cell_angle_beta 90.00
_cell_angle_gamma 90.00
loop_
_atom_site_label
_atom_site_type_symbol
_atom_site_fract_x
_atom_site_fract_y
_atom_site_fract_z
As1 As 0.0000 0.0000 0.0000
P1 P 0.0000 0.5000 0.5000
W1 W 0.5000 0.5000 0.5000
Cl1 Cl 0.5000 0.5000 0.0000
```

This entry pairs a crystal structure of As2Pb4Cl5 with its theoretical XRD peak list. Radiation: Cu Kα X-rays. Structure: a cell relaxed with PBE.
No peak broadening, texture or thermal motion is included.

Largest 8 diffraction maxima, by intensity, 2θ from 10° to 80°:
- (0 1 -2), 17.48°, d 5.075, I = 100
- (1 -2 1), 29.80°, d 2.998, I = 93
- (0 1 2), 24.14°, d 3.687, I = 84
- (1 1 -2), 25.77°, d 3.458, I = 66
- (0 2 0), 20.64°, d 4.302, I = 64
- (1 1 -1), 23.72°, d 3.751, I = 56
- (-1 1 1), 25.15°, d 3.541, I = 52
- (1 3 -2), 36.58°, d 2.456, I = 38

```
data_As2Pb4Cl5
_chemical_formula_sum 'As2 Pb4 Cl5'
_space_group_name_H-M_alt 'P -1'
_space_group_IT_number 2
_cell_length_a 4.1083
_cell_length_b 9.2293
_cell_length_c 10.5818
_cell_angle_alpha 110.77
_cell_angle_beta 101.15
_cell_angle_gamma 90.04
loop_
_space_group_symop_operation_xyz
'x,y,z'
'-x,-y,-z'
loop_
_atom_site_label
_atom_site_type_symbol
_atom_site_fract_x
_atom_site_fract_y
_atom_site_fract_z
As1 As 0.0178 0.1366 0.0354
Pb1 Pb 0.1720 0.2843 0.3427
Pb2 Pb 0.4400 0.2351 0.8785
Cl1 Cl 0.0000 0.5000 0.0000
Cl2 Cl 0.3257 0.9428 0.6523
Cl3 Cl 0.3323 0.5006 0.6671
```

This entry pairs a crystal structure of AsPb6S2Cl3 with its theoretical XRD peak list. Radiation: Cu Kα X-rays. Structure: a cell relaxed with PBE.
No peak broadening, texture or thermal motion is included.

Largest 8 diffraction maxima, by intensity, 2θ from 10° to 80°:
- (1 3 1), 29.25°, d 3.053, I = 100
- (1 3 -1), 26.40°, d 3.376, I = 56
- (2 0 -2), 29.13°, d 3.066, I = 50
- (3 3 -1), 40.19°, d 2.244, I = 45
- (2 0 0), 22.71°, d 3.916, I = 40
- (1 3 -3), 43.28°, d 2.091, I = 31
- (0 0 2), 25.23°, d 3.529, I = 27
- (2 0 2), 38.68°, d 2.328, I = 20

```
data_AsPb6S2Cl3
_chemical_formula_sum 'As2 Pb12 S4 Cl6'
_space_group_name_H-M_alt 'C 1 2/m 1'
_space_group_IT_number 12
_cell_length_a 8.1347
_cell_length_b 12.1350
_cell_length_c 7.3309
_cell_angle_alpha 90.00
_cell_angle_beta 105.67
_cell_angle_gamma 90.00
loop_
_space_group_symop_operation_xyz
'x,y,z'
'-x,-y,-z'
'-x,y,-z'
'x,-y,z'
'x+1/2,y+1/2,z'
'-x+1/2,-y+1/2,-z'
'-x+1/2,y+1/2,-z'
'x+1/2,-y+1/2,z'
loop_
_atom_site_label
_atom_site_type_symbol
_atom_site_fract_x
_atom_site_fract_y
_atom_site_fract_z
As1 As 0.0000 0.0000 0.0000
Pb1 Pb 0.2385 0.1670 0.2196
Pb2 Pb 0.2457 0.5000 0.2240
S1 S 0.0000 0.3358 0.0000
Cl1 Cl 0.0000 0.1638 0.5000
Cl2 Cl 0.0000 0.5000 0.5000
```

This entry pairs a crystal structure of TlAsPbCl6 with its theoretical XRD peak list. Radiation: Cu Kα X-rays. Structure: a cell relaxed with PBE.
No peak broadening, texture or thermal motion is included.

Largest 8 diffraction maxima, by intensity, 2θ from 10° to 80°:
- (1 0 1), 19.32°, d 4.595, I = 100
- (2 -1 2), 36.29°, d 2.475, I = 53
- (3 -1 1), 40.83°, d 2.210, I = 32
- (1 1 0), 24.98°, d 3.565, I = 30
- (2 0 1), 31.77°, d 2.817, I = 28
- (3 0 0), 43.99°, d 2.058, I = 19
- (1 0 3), 42.03°, d 2.150, I = 13
- (3 1 1), 55.27°, d 1.662, I = 13

```
data_TlAsPbCl6
_chemical_formula_sum 'Tl1 As1 Pb1 Cl6'
_space_group_name_H-M_alt 'P 3 1 2'
_space_group_IT_number 149
_cell_length_a 7.1307
_cell_length_b 7.1307
_cell_length_c 6.8793
_cell_angle_alpha 90.00
_cell_angle_beta 90.00
_cell_angle_gamma 120.00
loop_
_space_group_symop_operation_xyz
'x,y,z'
'-y,x-y,z'
'-x+y,-x,z'
'-y,-x,-z'
'-x+y,y,-z'
'x,x-y,-z'
loop_
_atom_site_label
_atom_site_type_symbol
_atom_site_fract_x
_atom_site_fract_y
_atom_site_fract_z
Tl1 Tl 0.0000 0.0000 0.0000
As1 As 0.6667 0.3333 0.5000
Pb1 Pb 0.3333 0.6667 0.5000
Cl1 Cl 0.3858 0.0414 0.7174
```